This entry pairs a crystal structure of Na2MgCo2O4 with its simulated powder XRD pattern. Radiation: Cu Kα (weighted mean of Kα1 and Kα2). Structure: DFT lattice parameters and positions (PBE+U).

Cell and atoms:
```
Na2MgCo2O4
1.0
2.7936 -1.6027 0.0000
2.7936 1.6027 0.0000
-0.1136 0.0000 12.8899
Na Mg Co O
2 1 2 4
direct
0.0000 0.0000 0.0000 Na
0.6390 0.6390 0.6216 Na
0.6592 0.6592 0.4100 Mg
0.3201 0.3201 0.2173 Co
0.3278 0.3278 0.8138 Co
0.6600 0.6600 0.2462 O
0.6681 0.6681 0.8998 O
0.9722 0.9722 0.7349 O
0.9925 0.9925 0.4616 O
```

Peak list (10 most intense, 15 to 90 degrees two-theta, most intense first)
Position (°2θ)  I_rel
34.83  100
35.11  95
38.49  76
57.21  63
38.61  61
35.21  48
20.67  43
32.90  39
68.99  36
42.87  35

This entry pairs a crystal structure of K2VOF4 with its simulated powder XRD pattern. Radiation: Cu Kα (weighted mean of Kα1 and Kα2). Structure: DFT lattice parameters and positions (PBE+U).

Cell and atoms:
```
K2VOF4
1.0
5.7514 0.0000 0.0000
0.0000 7.5510 0.0000
0.0000 0.0000 11.7159
K V O F
8 4 4 16
direct
0.0024 0.2362 0.2235 K
0.0037 0.9202 0.9106 K
0.4963 0.0798 0.4106 K
0.4976 0.7638 0.7235 K
0.5024 0.2638 0.7765 K
0.5037 0.5798 0.0894 K
0.9963 0.4202 0.5894 K
0.9976 0.7362 0.2765 K
0.0275 0.4330 0.9343 V
0.4725 0.5670 0.4343 V
0.5275 0.0670 0.0657 V
0.9725 0.9330 0.5657 V
0.2332 0.5677 0.8869 O
0.2668 0.4323 0.3869 O
0.7332 0.9323 0.1131 O
0.7668 0.0677 0.6131 O
0.0069 0.0258 0.4094 F
0.0076 0.7777 0.6956 F
0.2423 0.2492 0.0000 F
0.2431 0.0655 0.6122 F
0.2569 0.9345 0.1122 F
0.2577 0.7508 0.5000 F
0.4924 0.2223 0.1956 F
0.4931 0.9742 0.9094 F
0.5069 0.4742 0.5906 F
0.5076 0.7223 0.3044 F
0.7423 0.2508 0.0000 F
0.7431 0.4345 0.3878 F
0.7569 0.5655 0.8878 F
0.7577 0.7492 0.5000 F
0.9924 0.2777 0.8044 F
0.9931 0.5258 0.0906 F
```

Peak list (10 most intense, 15 to 90 degrees two-theta, most intense first)
Position (°2θ)  I_rel
27.61  100
42.42  71
28.12  62
31.10  50
38.92  47
20.84  42
28.28  41
45.98  36
40.16  33
40.30  32

This entry pairs a crystal structure of Li3NiB5O10 with its simulated powder XRD pattern. Radiation: Cu Kα (weighted mean of Kα1 and Kα2). Structure: DFT lattice parameters and positions (PBE+U).

Cell and atoms:
```
Li3NiB5O10
1.0
6.8895 0.0000 0.0000
3.3640 6.2197 0.0000
3.3837 0.0048 8.6538
Li Ni B O
6 2 10 20
direct
0.0200 0.1930 0.4641 Li
0.1788 0.0072 0.8412 Li
0.2441 0.4920 0.2466 Li
0.7559 0.5080 0.7534 Li
0.8212 0.9928 0.1588 Li
0.9800 0.8070 0.5359 Li
0.2191 0.5139 0.8823 Ni
0.7809 0.4861 0.1177 Ni
0.2136 0.1681 0.1303 B
0.2536 0.2860 0.6027 B
0.3052 0.8024 0.0701 B
0.3621 0.7468 0.5690 B
0.4116 0.8572 0.2886 B
0.5884 0.1428 0.7114 B
0.6379 0.2532 0.4310 B
0.6948 0.1976 0.9299 B
0.7464 0.7140 0.3973 B
0.7864 0.8319 0.8697 B
0.0451 0.3050 0.6225 O
0.1287 0.3794 0.0972 O
0.2151 0.7330 0.7063 O
0.2203 0.0252 0.0402 O
0.2682 0.6943 0.9910 O
0.2715 0.8403 0.4476 O
0.3073 0.0868 0.2488 O
0.3405 0.2220 0.7286 O
0.4004 0.3188 0.4583 O
0.4126 0.7173 0.1841 O
0.5874 0.2827 0.8159 O
0.5996 0.6812 0.5417 O
0.6595 0.7780 0.2714 O
0.6927 0.9132 0.7512 O
0.7285 0.1597 0.5524 O
0.7318 0.3057 0.0090 O
0.7797 0.9748 0.9598 O
0.7849 0.2670 0.2937 O
0.8713 0.6206 0.9028 O
0.9549 0.6950 0.3775 O
```

Peak list (10 most intense, 15 to 90 degrees two-theta, most intense first)
Position (°2θ)  I_rel
15.67  100
29.69  89
31.21  58
29.73  58
21.32  58
30.54  50
17.56  40
15.52  36
36.24  36
21.44  28

Copy entry 2 word for word.
This entry pairs a crystal structure of K2VOF4 with its simulated powder XRD pattern. Radiation: Cu Kα (weighted mean of Kα1 and Kα2). Structure: DFT lattice parameters and positions (PBE+U).

Cell and atoms:
```
K2VOF4
1.0
5.7514 0.0000 0.0000
0.0000 7.5510 0.0000
0.0000 0.0000 11.7159
K V O F
8 4 4 16
direct
0.0024 0.2362 0.2235 K
0.0037 0.9202 0.9106 K
0.4963 0.0798 0.4106 K
0.4976 0.7638 0.7235 K
0.5024 0.2638 0.7765 K
0.5037 0.5798 0.0894 K
0.9963 0.4202 0.5894 K
0.9976 0.7362 0.2765 K
0.0275 0.4330 0.9343 V
0.4725 0.5670 0.4343 V
0.5275 0.0670 0.0657 V
0.9725 0.9330 0.5657 V
0.2332 0.5677 0.8869 O
0.2668 0.4323 0.3869 O
0.7332 0.9323 0.1131 O
0.7668 0.0677 0.6131 O
0.0069 0.0258 0.4094 F
0.0076 0.7777 0.6956 F
0.2423 0.2492 0.0000 F
0.2431 0.0655 0.6122 F
0.2569 0.9345 0.1122 F
0.2577 0.7508 0.5000 F
0.4924 0.2223 0.1956 F
0.4931 0.9742 0.9094 F
0.5069 0.4742 0.5906 F
0.5076 0.7223 0.3044 F
0.7423 0.2508 0.0000 F
0.7431 0.4345 0.3878 F
0.7569 0.5655 0.8878 F
0.7577 0.7492 0.5000 F
0.9924 0.2777 0.8044 F
0.9931 0.5258 0.0906 F
```

Peak list (10 most intense, 15 to 90 degrees two-theta, most intense first)
Position (°2θ)  I_rel
27.61  100
42.42  71
28.12  62
31.10  50
38.92  47
20.84  42
28.28  41
45.98  36
40.16  33
40.30  32

What did the third record say?
This entry pairs a crystal structure of Li3NiB5O10 with its simulated powder XRD pattern. Radiation: Cu Kα (weighted mean of Kα1 and Kα2). Structure: DFT lattice parameters and positions (PBE+U).

Cell and atoms:
```
Li3NiB5O10
1.0
6.8895 0.0000 0.0000
3.3640 6.2197 0.0000
3.3837 0.0048 8.6538
Li Ni B O
6 2 10 20
direct
0.0200 0.1930 0.4641 Li
0.1788 0.0072 0.8412 Li
0.2441 0.4920 0.2466 Li
0.7559 0.5080 0.7534 Li
0.8212 0.9928 0.1588 Li
0.9800 0.8070 0.5359 Li
0.2191 0.5139 0.8823 Ni
0.7809 0.4861 0.1177 Ni
0.2136 0.1681 0.1303 B
0.2536 0.2860 0.6027 B
0.3052 0.8024 0.0701 B
0.3621 0.7468 0.5690 B
0.4116 0.8572 0.2886 B
0.5884 0.1428 0.7114 B
0.6379 0.2532 0.4310 B
0.6948 0.1976 0.9299 B
0.7464 0.7140 0.3973 B
0.7864 0.8319 0.8697 B
0.0451 0.3050 0.6225 O
0.1287 0.3794 0.0972 O
0.2151 0.7330 0.7063 O
0.2203 0.0252 0.0402 O
0.2682 0.6943 0.9910 O
0.2715 0.8403 0.4476 O
0.3073 0.0868 0.2488 O
0.3405 0.2220 0.7286 O
0.4004 0.3188 0.4583 O
0.4126 0.7173 0.1841 O
0.5874 0.2827 0.8159 O
0.5996 0.6812 0.5417 O
0.6595 0.7780 0.2714 O
0.6927 0.9132 0.7512 O
0.7285 0.1597 0.5524 O
0.7318 0.3057 0.0090 O
0.7797 0.9748 0.9598 O
0.7849 0.2670 0.2937 O
0.8713 0.6206 0.9028 O
0.9549 0.6950 0.3775 O
```

Peak list (10 most intense, 15 to 90 degrees two-theta, most intense first)
Position (°2θ)  I_rel
15.67  100
29.69  89
31.21  58
29.73  58
21.32  58
30.54  50
17.56  40
15.52  36
36.24  36
21.44  28